Theoretical X-ray diffraction stick pattern of Nd15Ho4Tm for Cu Kα, 1.54184 Å, from a DFT-relaxed cell (PBE, Alexandria).

Principal peaks in the range 10° ≤ 2θ ≤ 90°, by angle:
two_theta  I_rel
30.1  100
34.8  34
35.0  17
50.1  12
50.2  24
59.5  29
59.7  14
62.5  12
81.6  12
84.0  11

Atomic structure:
```
Nd15Ho4Tm
1.0
5.154 0.000 0.000
0.000 5.154 0.000
0.000 0.000 25.645
Nd Ho Tm
15 4 1
Direct
0.000 0.000 0.000
0.000 0.000 0.200
0.000 0.000 0.400
0.000 0.000 0.600
0.000 0.000 0.800
0.000 0.500 0.100
0.000 0.500 0.300
0.000 0.500 0.500
0.000 0.500 0.700
0.000 0.500 0.900
0.500 0.000 0.100
0.500 0.000 0.300
0.500 0.000 0.500
0.500 0.000 0.700
0.500 0.000 0.900
0.500 0.500 0.200
0.500 0.500 0.400
0.500 0.500 0.600
0.500 0.500 0.800
0.500 0.500 0.000
```

---

Theoretical X-ray diffraction stick pattern of Er3Ge5Rh6 for Cu Kα, 1.54184 Å, from a DFT-relaxed cell (PBE, Alexandria).

Principal peaks in the range 10° ≤ 2θ ≤ 90°, by angle:
two_theta  I_rel
30.5  8
35.3  20
35.9  100
41.9  10
42.7  16
44.7  23
58.2  10
63.5  10
67.0  11
76.6  12

Atomic structure:
```
Er3Ge5Rh6
1.0
4.059 0.000 0.000
0.000 12.709 0.000
0.000 0.000 9.539
Er Ge Rh
6 10 12
Direct
0.250 0.080 0.249
0.250 0.420 0.249
0.250 0.750 0.255
0.750 0.250 0.745
0.750 0.580 0.751
0.750 0.920 0.751
0.250 0.082 0.851
0.250 0.418 0.851
0.250 0.632 0.522
0.250 0.750 0.856
0.250 0.868 0.522
0.750 0.132 0.478
0.750 0.250 0.144
0.750 0.368 0.478
0.750 0.582 0.149
0.750 0.918 0.149
0.250 0.050 0.597
0.250 0.250 0.482
0.250 0.250 0.990
0.250 0.450 0.597
0.250 0.584 0.001
0.250 0.916 0.001
0.750 0.084 0.999
0.750 0.416 0.999
0.750 0.550 0.403
0.750 0.750 0.010
0.750 0.750 0.518
0.750 0.950 0.403
```

---

Theoretical X-ray diffraction stick pattern of Ce2Er3Os2 for Cu Kα, 1.54184 Å, from a DFT-relaxed cell (PBE, Alexandria).

Principal peaks in the range 10° ≤ 2θ ≤ 90°, by angle:
two_theta  I_rel
15.7  18
31.3  40
32.5  100
33.9  34
35.1  35
35.6  37
39.5  34
47.4  24
58.0  16
58.7  28

Atomic structure:
```
Ce2Er3Os2
1.0
5.951 -1.917 0.000
5.951 1.917 0.000
-3.340 0.000 7.948
Ce Er Os
2 3 2
Direct
0.166 0.166 0.309
0.834 0.834 0.691
0.378 0.378 0.076
0.500 0.500 0.500
0.622 0.622 0.924
0.188 0.188 0.724
0.812 0.812 0.276
```

---

Theoretical X-ray diffraction stick pattern of Sm5DyEr2Tm for Cu Kα, 1.54184 Å, from a DFT-relaxed cell (PBE, Alexandria).

Principal peaks in the range 10° ≤ 2θ ≤ 90°, by angle:
two_theta  I_rel
27.9  14
30.2  31
32.0  37
32.1  100
33.7  13
47.2  11
50.8  10
57.1  20
59.2  11
61.3  11

Atomic structure:
```
Sm5DyEr2Tm
1.0
2.799 -10.068 0.000
2.799 10.068 0.000
0.000 0.000 10.634
Sm Dy Er Tm
10 2 4 2
Direct
0.017 0.983 0.500
0.281 0.719 0.791
0.299 0.701 0.188
0.387 0.613 0.503
0.482 0.518 0.223
0.518 0.482 0.723
0.613 0.387 0.003
0.701 0.299 0.688
0.719 0.281 0.291
0.983 0.017 0.000
0.199 0.801 0.491
0.801 0.199 0.991
0.111 0.889 0.220
0.114 0.886 0.792
0.886 0.114 0.292
0.889 0.111 0.720
0.409 0.591 0.942
0.591 0.409 0.442
```

---

Theoretical X-ray diffraction stick pattern of Li7ZnHg3 for Cu Kα, 1.54184 Å, from a DFT-relaxed cell (PBE, Alexandria).

Principal peaks in the range 10° ≤ 2θ ≤ 90°, by angle:
two_theta  I_rel
15.9  62
23.5  100
24.0  52
27.4  25
29.0  32
31.2  47
36.7  55
39.4  39
40.6  44
42.0  47

Atomic structure:
```
Li7ZnHg3
1.0
1.556 -11.115 0.000
1.556 11.115 0.000
0.000 0.000 12.060
Li Zn Hg
14 2 6
Direct
0.052 0.948 0.630
0.052 0.948 0.870
0.087 0.913 0.099
0.087 0.913 0.401
0.186 0.814 0.750
0.224 0.776 0.097
0.224 0.776 0.403
0.776 0.224 0.597
0.776 0.224 0.903
0.814 0.186 0.250
0.913 0.087 0.599
0.913 0.087 0.901
0.948 0.052 0.130
0.948 0.052 0.370
0.472 0.528 0.750
0.528 0.472 0.250
0.342 0.658 0.750
0.348 0.652 0.059
0.348 0.652 0.441
0.652 0.348 0.559
0.652 0.348 0.941
0.658 0.342 0.250
```

---

Theoretical X-ray diffraction stick pattern of Dy2ErN3 for Cu Kα, 1.54184 Å, from a DFT-relaxed cell (PBE, Alexandria).

Principal peaks in the range 10° ≤ 2θ ≤ 90°, by angle:
two_theta  I_rel
31.7  100
36.7  71
52.9  49
63.0  45
66.2  16
78.2  8
86.8  19
89.6  23

Atomic structure:
```
Dy2ErN3
1.0
6.918 0.000 0.000
0.000 4.890 0.000
0.000 0.000 10.378
Dy Er N
8 4 12
Direct
0.125 0.250 0.250
0.126 0.250 0.583
0.374 0.750 0.083
0.375 0.750 0.750
0.625 0.250 0.250
0.626 0.250 0.917
0.874 0.750 0.417
0.875 0.750 0.750
0.125 0.250 0.917
0.375 0.750 0.417
0.625 0.250 0.583
0.875 0.750 0.083
0.123 0.750 0.917
0.125 0.750 0.250
0.127 0.750 0.582
0.373 0.250 0.082
0.375 0.250 0.750
0.377 0.250 0.417
0.623 0.750 0.583
0.625 0.750 0.250
0.627 0.750 0.918
0.873 0.250 0.418
0.875 0.250 0.750
0.877 0.250 0.083
```